Diffraction record for Sm2Cr2S2O5. The powder diffractogram is calculated, not measured: it uses DFT lattice parameters and positions (GGA+U) and Cu Kα, 1.54184 Å.
Neutral-atom scattering factors, no anomalous dispersion.

Top 8 peaks for 15° ≤ 2θ ≤ 90°, by angle:
Position (°2θ)	I (rel.)
15.5	62
25.9	100
32.8	65
36.1	70
40.7	29
42.7	32
47.0	19
60.7	29

Crystal structure
Cell lengths 11.7276, 11.7276, 11.7276 Å; angles 161.07, 161.01, 26.94 degrees
Atoms (fractional coordinates):
Sm: 0.1612 0.1612 0.0000
Sm: 0.8388 0.8388 0.0000
Cr: 0.4221 0.4221 0.0000
Cr: 0.5779 0.5779 0.0000
S: 0.2954 0.2954 0.0000
S: 0.7046 0.7046 0.0000
O: 0.0985 0.5985 0.5000
O: 0.4023 0.9023 0.5000
O: 0.5000 0.5000 0.0000
O: 0.5977 0.0977 0.5000
O: 0.9015 0.4015 0.5000